1.
# MgCo4Sb4S4
Calculated XRD peak list, CuKα. Input: a cell relaxed with GGA-PBE.

Structure:
```
13
Lattice="4.148 2.395 3.869 -4.148 2.395 3.869 0.000 -4.789 3.869" Properties=species:S:1:pos:R:3 pbc="T T T"
Mg 0.000 0.000 0.000
Co -2.051 1.108 5.537
Co 0.066 -2.330 5.537
Co 0.000 0.000 9.096
Co 1.985 1.222 5.537
Sb 0.000 0.000 2.576
Sb -1.064 -1.861 7.772
Sb -1.080 1.852 7.772
Sb 2.143 0.009 7.772
S -3.019 -0.682 6.447
S 0.000 0.000 5.126
S 2.100 -2.274 6.447
S 0.919 2.955 6.447
```

The 12 most intense peaks (2θ = 15–90°), in order of falling intensity:
2θ (°)  I/Imax
31.63  100.0
33.91  79.1
36.54  49.6
29.24  45.0
37.56  36.7
21.42  34.9
49.89  31.7
46.58  31.1
19.67  29.2
39.94  27.2
52.17  26.4
45.76  24.6

2.
# Mg6AlGa
Calculated XRD peak list, CuKα. Input: a cell relaxed with GGA-PBE.

Structure:
```
16
Lattice="4.968 0.000 0.000 0.000 6.325 0.000 0.000 0.000 10.769" Properties=species:S:1:pos:R:3 pbc="T T T"
Mg 0.000 0.000 0.000
Mg 0.000 0.000 5.376
Mg 0.000 1.578 2.643
Mg 0.000 1.584 8.027
Mg 0.000 3.162 5.385
Mg 0.000 3.162 10.761
Mg 0.000 4.747 2.643
Mg 0.000 4.740 8.027
Mg 2.484 1.581 4.460
Mg 2.484 1.581 9.845
Mg 2.484 4.744 4.460
Mg 2.484 4.743 9.845
Al 2.484 0.000 1.767
Al 2.484 3.162 7.152
Ga 2.484 0.000 7.149
Ga 2.484 3.162 1.765
```

The 12 most intense peaks (2θ = 15–90°), in order of falling intensity:
2θ (°)  I/Imax
37.63  100.0
38.02  48.7
36.16  36.9
32.84  26.9
71.37  18.5
66.01  18.0
59.19  16.7
16.25  16.2
49.65  16.2
71.80  13.9
24.23  13.6
33.28  12.8

3.
# KCO3
Calculated XRD peak list, CuKα. Input: a cell relaxed with GGA-PBE.

Structure:
```
40
Lattice="8.541 0.000 0.000 0.000 11.096 0.000 -2.659 0.000 6.804" Properties=species:S:1:pos:R:3 pbc="T T T"
K 1.157 1.015 1.355
K -0.173 4.532 4.757
K 1.806 7.312 1.928
K 0.477 9.332 5.329
K 5.405 1.764 1.474
K 4.076 3.784 4.876
K 6.055 6.563 2.047
K 4.725 10.080 5.449
C -1.462 1.381 4.573
C -0.132 4.166 1.171
C 1.744 1.436 5.272
C 3.074 4.112 1.870
C 2.808 6.984 4.934
C 4.138 9.659 1.532
C 6.014 6.929 5.632
C 7.344 9.714 2.231
O -1.447 0.447 5.400
O -0.117 5.101 1.998
O -1.614 7.689 6.040
O -0.285 8.954 2.638
O -0.247 1.746 3.896
O 1.082 3.802 0.494
O 0.900 0.860 4.272
O 2.229 4.688 0.870
O 1.919 6.149 4.636
O 3.249 10.494 1.234
O 1.525 2.589 5.696
O 2.855 2.959 2.294
O 3.027 8.137 4.510
O 4.357 8.506 1.108
O 2.633 0.601 5.570
O 3.963 4.947 2.168
O 3.653 6.408 5.934
O 4.982 10.236 2.532
O 4.800 7.293 6.310
O 6.129 9.350 2.908
O 6.167 2.141 4.166
O 7.496 3.406 0.764
O 6.000 5.995 4.806
O 7.329 10.649 1.404
```

The 12 most intense peaks (2θ = 15–90°), in order of falling intensity:
2θ (°)  I/Imax
26.80  100.0
26.20  71.6
27.79  41.6
41.32  37.2
26.58  33.7
34.04  27.0
27.43  26.7
33.07  21.4
43.09  19.7
15.87  19.1
33.19  17.8
25.73  15.6

4.
# Er2Ga3Fe14C2
Calculated XRD peak list, CuKα. Input: a cell relaxed with GGA-PBE.

Structure:
```
21
Lattice="4.862 -4.269 0.000 4.862 4.269 0.000 -0.949 0.000 6.436" Properties=species:S:1:pos:R:3 pbc="T T T"
Er 1.173 0.000 2.192
Er 7.602 0.000 4.244
Ga 2.431 2.135 0.000
Ga 2.431 -2.135 0.000
Ga 4.388 0.000 3.218
Fe 3.588 2.127 2.215
Fe 0.692 0.000 5.461
Fe 4.862 2.495 0.000
Fe 2.791 1.223 4.594
Fe 5.187 2.127 4.221
Fe 3.871 0.000 0.612
Fe 2.791 -1.223 4.594
Fe 5.984 1.223 1.842
Fe 4.904 0.000 5.824
Fe 3.588 -2.127 2.215
Fe 5.984 -1.223 1.842
Fe 4.862 -2.495 0.000
Fe 8.083 0.000 0.976
Fe 5.187 -2.127 4.221
C 1.957 2.135 3.218
C 1.957 -2.135 3.218
```

The 12 most intense peaks (2θ = 15–90°), in order of falling intensity:
2θ (°)  I/Imax
42.50  100.0
41.73  73.9
43.58  55.4
29.81  47.4
36.28  38.2
42.34  34.1
42.12  24.0
77.02  23.8
41.98  23.7
37.72  22.2
43.17  22.1
30.01  21.4

5.
# Ce2BiO2
Calculated XRD peak list, CuKα. Input: a cell relaxed with GGA-PBE.

Structure:
```
10
Lattice="4.033 0.000 0.000 0.000 4.033 0.000 0.000 0.000 13.044" Properties=species:S:1:pos:R:3 pbc="T T T"
Ce 0.000 0.000 2.067
Ce 0.000 0.000 10.976
Ce 2.017 2.017 4.454
Ce 2.017 2.017 8.589
Bi 0.000 0.000 6.522
Bi 2.017 2.017 0.000
O 0.000 2.017 3.261
O 0.000 2.017 9.783
O 2.017 0.000 3.261
O 2.017 0.000 9.783
```

The 12 most intense peaks (2θ = 15–90°), in order of falling intensity:
2θ (°)  I/Imax
30.23  100.0
31.37  39.7
55.13  37.4
52.96  22.7
44.95  19.5
62.86  10.9
88.98  10.8
86.06  9.9
41.54  8.9
68.84  8.7
73.77  8.0
74.38  7.2

6.
# SmGeRh
Calculated XRD peak list, CuKα. Input: a cell relaxed with GGA-PBE.

Structure:
```
12
Lattice="7.058 0.000 0.000 0.000 4.443 0.000 0.000 0.000 7.564" Properties=species:S:1:pos:R:3 pbc="T T T"
Sm 0.107 1.111 1.521
Sm 3.422 3.332 5.303
Sm 3.636 1.111 2.260
Sm 6.951 3.332 6.042
Ge 1.307 1.111 4.411
Ge 2.222 3.332 0.629
Ge 4.835 1.111 6.934
Ge 5.751 3.332 3.153
Rh 1.412 3.332 3.112
Rh 2.117 1.111 6.894
Rh 4.940 3.332 0.670
Rh 5.646 1.111 4.451
```

The 12 most intense peaks (2θ = 15–90°), in order of falling intensity:
2θ (°)  I/Imax
34.56  100.0
41.17  50.7
33.61  48.1
40.61  39.3
34.77  37.3
40.14  23.3
66.88  22.7
54.51  20.5
58.42  15.3
70.01  12.6
74.92  12.2
37.90  11.6

7.
# Zn2SiGeN4
Calculated XRD peak list, CuKα. Input: a cell relaxed with GGA-PBE.

Structure:
```
16
Lattice="5.401 0.000 0.000 0.000 5.153 0.000 -0.019 0.000 6.406" Properties=species:S:1:pos:R:3 pbc="T T T"
Zn 0.418 0.000 2.391
Zn 2.207 2.581 5.628
Zn 3.176 0.005 0.778
Zn 4.965 2.577 4.015
Si 0.375 0.001 5.633
Si 5.008 2.577 0.774
Ge 2.292 2.590 2.369
Ge 3.091 0.014 4.037
N 0.294 1.767 5.788
N 0.491 2.068 2.219
N 2.056 4.637 5.514
N 2.346 4.456 2.486
N 3.036 1.879 3.920
N 3.326 2.060 0.892
N 4.892 4.645 4.187
N 5.089 4.343 0.618
```

The 12 most intense peaks (2θ = 15–90°), in order of falling intensity:
2θ (°)  I/Imax
37.00  100.0
34.82  53.4
37.60  44.0
32.50  41.9
63.86  30.6
33.17  24.5
48.37  19.0
57.55  14.9
58.75  14.1
58.92  13.9
64.27  13.6
69.05  13.0

8.
# Ba5C2N6
Calculated XRD peak list, CuKα. Input: a cell relaxed with GGA-PBE.

Structure:
```
26
Lattice="4.928 -3.636 0.000 4.928 3.636 0.000 -0.088 0.000 14.121" Properties=species:S:1:pos:R:3 pbc="T T T"
Ba 4.862 2.414 10.591
Ba 4.564 1.901 0.045
Ba 3.197 0.787 4.496
Ba 5.248 1.901 7.015
Ba 3.153 -0.787 11.557
Ba 6.616 0.787 2.564
Ba 4.521 -1.901 7.106
Ba 6.572 -0.787 9.625
Ba 5.204 -1.901 14.076
Ba 4.906 -2.414 3.530
C 2.702 0.206 8.354
C 2.746 -0.206 1.294
C 7.023 0.206 12.827
C 7.067 -0.206 5.767
N 1.507 0.133 9.089
N 1.551 -0.133 2.029
N 2.705 0.066 6.993
N 2.661 -0.066 14.053
N 3.904 0.417 9.058
N 3.948 -0.417 1.998
N 5.821 0.417 12.123
N 5.865 -0.417 5.063
N 7.108 0.066 0.068
N 7.064 -0.066 7.128
N 8.218 0.133 12.092
N 8.262 -0.133 5.032
```

The 12 most intense peaks (2θ = 15–90°), in order of falling intensity:
2θ (°)  I/Imax
30.56  100.0
25.27  72.6
31.25  58.7
24.23  57.3
35.44  47.8
21.93  33.2
44.70  32.7
29.51  26.2
29.84  26.0
38.79  20.0
55.43  19.9
39.95  16.8

9.
# Np2InRh2
Calculated XRD peak list, CuKα. Input: a cell relaxed with GGA-PBE.

Structure:
```
10
Lattice="7.742 0.000 0.000 0.000 7.742 0.000 0.000 0.000 3.389" Properties=species:S:1:pos:R:3 pbc="T T T"
Np 1.263 2.608 0.000
Np 2.608 6.480 0.000
Np 5.134 1.263 0.000
Np 6.480 5.134 0.000
In 0.000 0.000 1.694
In 3.871 3.871 1.694
Rh 1.098 4.969 1.694
Rh 2.773 1.098 1.694
Rh 4.969 6.645 1.694
Rh 6.645 2.773 1.694
```

The 12 most intense peaks (2θ = 15–90°), in order of falling intensity:
2θ (°)  I/Imax
37.12  100.0
36.71  44.5
71.25  19.1
55.99  18.2
35.20  18.0
25.73  17.0
67.19  15.2
49.98  10.9
54.12  10.1
57.34  9.4
31.04  7.6
85.21  6.9

10.
# Rb2YTlBr6
Calculated XRD peak list, CuKα. Input: a cell relaxed with GGA-PBE.

Structure:
```
10
Lattice="0.000 5.993 5.993 5.993 0.000 5.993 5.993 5.993 0.000" Properties=species:S:1:pos:R:3 pbc="T T T"
Rb 2.997 2.997 2.997
Rb 8.990 8.990 8.990
Y 0.000 0.000 0.000
Tl 5.993 5.993 5.993
Br 5.993 5.993 2.797
Br 5.993 2.797 5.993
Br 9.189 5.993 5.993
Br 2.797 5.993 5.993
Br 5.993 9.189 5.993
Br 5.993 5.993 9.189
```

The 12 most intense peaks (2θ = 15–90°), in order of falling intensity:
2θ (°)  I/Imax
29.82  100.0
42.67  71.7
20.96  49.9
25.75  30.0
70.23  29.6
52.92  24.5
33.43  24.2
36.73  21.9
78.12  21.4
57.54  14.3
48.00  13.4
32.56  13.1

Number 10 is which compound? Rb2YTlBr6